Pr3Sb2Pt7: calculated X-ray diffraction stick pattern (Cu Kα, 1.54184 Å), based on a GGA-PBE-relaxed structure.
Lines closer than 0.1° are merged.

Largest 10 diffraction maxima, in order of falling intensity, 10 to 90 degrees two-theta:
35.3 deg, rel. 100; 42.8 deg, rel. 86; 39.0 deg, rel. 54; 30.6 deg, rel. 47; 35.0 deg, rel. 47; 40.2 deg, rel. 30; 62.1 deg, rel. 29; 32.4 deg, rel. 26; 73.5 deg, rel. 24; 56.4 deg, rel. 24

Structural model:
```
Pr3Sb2Pt7
1.0
-2.112 2.112 14.537
2.112 -2.112 14.537
2.112 2.112 -14.537
Pr Sb Pt
3 2 7
Direct
0.000 0.000 0.000
0.178 0.178 0.000
0.822 0.822 0.000
0.372 0.372 0.000
0.628 0.628 0.000
0.074 0.574 0.500
0.280 0.280 0.000
0.426 0.926 0.500
0.500 0.500 0.000
0.574 0.074 0.500
0.720 0.720 0.000
0.926 0.426 0.500
```



Ba2CaOs2N6: calculated X-ray diffraction stick pattern (Cu Kα, 1.54184 Å), based on a GGA-PBE-relaxed structure.
Lines closer than 0.1° are merged.

Largest 10 diffraction maxima, in order of falling intensity, 10 to 90 degrees two-theta:
28.9 deg, rel. 100; 51.3 deg, rel. 39; 41.4 deg, rel. 20; 82.8 deg, rel. 18; 17.2 deg, rel. 17; 67.9 deg, rel. 16; 60.0 deg, rel. 12; 40.9 deg, rel. 9; 28.3 deg, rel. 8; 56.3 deg, rel. 4

Structural model:
```
Ba2CaOs2N6
1.0
3.086 1.782 6.298
-3.086 1.782 6.298
0.000 -3.563 6.298
Ba Ca Os N
2 1 2 6
Direct
0.213 0.213 0.213
0.787 0.787 0.787
0.000 0.000 0.000
0.405 0.405 0.405
0.595 0.595 0.595
0.253 0.742 0.742
0.258 0.258 0.747
0.258 0.747 0.258
0.742 0.253 0.742
0.742 0.742 0.253
0.747 0.258 0.258
```



Dy8Si3Te4As: calculated X-ray diffraction stick pattern (Cu Kα, 1.54184 Å), based on a GGA-PBE-relaxed structure.
Lines closer than 0.1° are merged.

Largest 10 diffraction maxima, in order of falling intensity, 10 to 90 degrees two-theta:
29.7 deg, rel. 100; 42.9 deg, rel. 38; 42.1 deg, rel. 34; 53.0 deg, rel. 20; 70.5 deg, rel. 17; 25.8 deg, rel. 14; 32.3 deg, rel. 12; 69.3 deg, rel. 12; 78.0 deg, rel. 11; 61.7 deg, rel. 11

Structural model:
```
Dy8Si3Te4As
1.0
4.216 2.434 7.080
-4.216 2.434 7.080
0.000 -4.868 7.080
Dy Si Te As
8 3 4 1
Direct
0.236 0.741 0.741
0.240 0.240 0.240
0.259 0.259 0.764
0.259 0.764 0.259
0.741 0.236 0.741
0.741 0.741 0.236
0.760 0.760 0.760
0.764 0.259 0.259
0.000 0.000 0.500
0.000 0.500 0.000
0.500 0.000 0.000
0.000 0.000 0.000
0.000 0.500 0.500
0.500 0.000 0.500
0.500 0.500 0.000
0.500 0.500 0.500
```